For BaCaSmSbO6, a DFT-relaxed cell (GGA-PBE, the Materials Project) gives the theoretical powder XRD pattern in this record (Cu Kα (weighted mean of Kα1 and Kα2)).

```
data_BaCaSmSbO6
_space_group_name_H-M_alt 'P 2 2 2'
_space_group_IT_number 16
_space_group_name_Hall 'P 2 2'
_cell_length_a 8.4460
_cell_length_b 8.4499
_cell_length_c 8.4720
_cell_angle_alpha 90.00
_cell_angle_beta 90.00
_cell_angle_gamma 90.00
loop_
_atom_site_label
_atom_site_fract_x
_atom_site_fract_y
_atom_site_fract_z
Ba1 0.0000 0.0000 0.0000
Ba2 0.0000 0.0000 0.5000
Ba3 0.0000 0.5000 0.0000
Ba4 0.5000 0.5000 0.5000
Ca1 0.0000 0.5000 0.5000
Ca2 0.5000 0.0000 0.0000
Ca3 0.5000 0.0000 0.5000
Ca4 0.5000 0.5000 0.0000
Sm1 0.2547 0.2517 0.7490
Sb1 0.2566 0.2491 0.2516
O1 0.0196 0.2727 0.2184
O2 0.2116 0.3025 0.4821
O3 0.2270 0.0149 0.2815
O4 0.2976 0.2086 0.0176
O5 0.2994 0.4807 0.2045
O6 0.4850 0.2114 0.3066
```

Peak list (12 most intense, 2θ = 10–90°, in order of rising 2θ)
| Position (°2θ) | intensity | index |
| --- | --- | --- |
| 21.0 | 11 | 0 2 0 |
| 29.9 | 100 | 2 0 2 |
| 42.7 | 9 | 0 0 4 |
| 42.8 | 19 | 0 4 0 |
| 53.1 | 44 | 2 4 2 |
| 62.1 | 11 | 0 4 4 |
| 62.2 | 5 | 4 4 0 |
| 70.3 | 6 | 2 0 6 |
| 70.5 | 12 | 0 6 2 |
| 78.3 | 5 | 4 4 4 |
| 86.0 | 11 | 2 4 6 |
| 86.1 | 11 | 4 6 2 |



For BaCaSmSbO6, a DFT-relaxed cell (GGA-PBE, the Materials Project) gives the theoretical powder XRD pattern in this record (Cu Kα (weighted mean of Kα1 and Kα2)).

```
data_BaCaSmSbO6
_space_group_name_H-M_alt 'F -4 3 m'
_space_group_IT_number 216
_space_group_name_Hall 'F -4 2 3'
_cell_length_a 8.5302
_cell_length_b 8.5302
_cell_length_c 8.5302
_cell_angle_alpha 90.00
_cell_angle_beta 90.00
_cell_angle_gamma 90.00
loop_
_atom_site_label
_atom_site_fract_x
_atom_site_fract_y
_atom_site_fract_z
Ba1 0.0000 0.0000 0.0000
Ca1 0.0000 0.0000 0.5000
Sm1 0.2500 0.2500 0.2500
Sb1 0.2500 0.2500 0.7500
O1 0.0156 0.2500 0.7500
```

Peak list (12 most intense, 2θ = 10–90°, in order of rising 2θ)
| Position (°2θ) | intensity | index |
| --- | --- | --- |
| 18.0 | 10 | 1 1 1 |
| 20.8 | 12 | 2 0 0 |
| 29.6 | 100 | 2 2 0 |
| 34.9 | 7 | 3 1 1 |
| 42.4 | 32 | 4 0 0 |
| 46.4 | 3 | 3 3 1 |
| 47.7 | 5 | 4 2 0 |
| 52.6 | 40 | 4 2 2 |
| 61.5 | 19 | 4 4 0 |
| 69.7 | 18 | 6 2 0 |
| 77.5 | 6 | 4 4 4 |
| 85.1 | 21 | 6 4 2 |



For BaSrCaSeO6, a DFT-relaxed cell (GGA-PBE, the Materials Project) gives the theoretical powder XRD pattern in this record (Cu Kα (weighted mean of Kα1 and Kα2)).

```
data_BaSrCaSeO6
_space_group_name_H-M_alt 'F -4 3 m'
_space_group_IT_number 216
_space_group_name_Hall 'F -4 2 3'
_cell_length_a 8.3595
_cell_length_b 8.3595
_cell_length_c 8.3595
_cell_angle_alpha 90.00
_cell_angle_beta 90.00
_cell_angle_gamma 90.00
loop_
_atom_site_label
_atom_site_fract_x
_atom_site_fract_y
_atom_site_fract_z
Ba1 0.0000 0.0000 0.0000
Sr1 0.2500 0.2500 0.7500
Ca1 0.0000 0.0000 0.5000
Se1 0.2500 0.2500 0.2500
O1 0.0316 0.2500 0.2500
```

Peak list (12 most intense, 2θ = 10–90°, in order of rising 2θ)
| Position (°2θ) | intensity | index |
| --- | --- | --- |
| 18.4 | 18 | 1 1 1 |
| 30.2 | 100 | 2 2 0 |
| 35.6 | 11 | 3 1 1 |
| 43.3 | 34 | 4 0 0 |
| 47.4 | 6 | 3 3 1 |
| 53.7 | 37 | 4 2 2 |
| 57.3 | 4 | 3 3 3 |
| 62.9 | 20 | 4 4 0 |
| 66.1 | 4 | 5 3 1 |
| 71.4 | 19 | 6 2 0 |
| 79.4 | 6 | 4 4 4 |
| 87.3 | 22 | 6 4 2 |



For BaSrCaSeO6, a DFT-relaxed cell (GGA-PBE, the Materials Project) gives the theoretical powder XRD pattern in this record (Cu Kα (weighted mean of Kα1 and Kα2)).

```
data_BaSrCaSeO6
_space_group_name_H-M_alt 'F -4 3 m'
_space_group_IT_number 216
_space_group_name_Hall 'F -4 2 3'
_cell_length_a 8.2144
_cell_length_b 8.2144
_cell_length_c 8.2144
_cell_angle_alpha 90.00
_cell_angle_beta 90.00
_cell_angle_gamma 90.00
loop_
_atom_site_label
_atom_site_fract_x
_atom_site_fract_y
_atom_site_fract_z
Ba1 0.0000 0.0000 0.0000
Sr1 0.0000 0.0000 0.5000
Ca1 0.2500 0.2500 0.2500
Se1 0.2500 0.2500 0.7500
O1 0.0265 0.2500 0.7500
```

Peak list (12 most intense, 2θ = 10–90°, in order of rising 2θ)
| Position (°2θ) | intensity | index |
| --- | --- | --- |
| 18.7 | 11 | 1 1 1 |
| 21.6 | 4 | 2 0 0 |
| 30.8 | 100 | 2 2 0 |
| 36.3 | 4 | 3 1 1 |
| 37.9 | 14 | 2 2 2 |
| 44.1 | 34 | 4 0 0 |
| 54.7 | 38 | 4 2 2 |
| 64.1 | 20 | 4 4 0 |
| 72.8 | 18 | 6 2 0 |
| 77.0 | 4 | 6 2 2 |
| 81.1 | 7 | 4 4 4 |
| 89.2 | 22 | 6 4 2 |



Please write out number 1 again, unchanged.
For BaCaSmSbO6, a DFT-relaxed cell (GGA-PBE, the Materials Project) gives the theoretical powder XRD pattern in this record (Cu Kα (weighted mean of Kα1 and Kα2)).

```
data_BaCaSmSbO6
_space_group_name_H-M_alt 'P 2 2 2'
_space_group_IT_number 16
_space_group_name_Hall 'P 2 2'
_cell_length_a 8.4460
_cell_length_b 8.4499
_cell_length_c 8.4720
_cell_angle_alpha 90.00
_cell_angle_beta 90.00
_cell_angle_gamma 90.00
loop_
_atom_site_label
_atom_site_fract_x
_atom_site_fract_y
_atom_site_fract_z
Ba1 0.0000 0.0000 0.0000
Ba2 0.0000 0.0000 0.5000
Ba3 0.0000 0.5000 0.0000
Ba4 0.5000 0.5000 0.5000
Ca1 0.0000 0.5000 0.5000
Ca2 0.5000 0.0000 0.0000
Ca3 0.5000 0.0000 0.5000
Ca4 0.5000 0.5000 0.0000
Sm1 0.2547 0.2517 0.7490
Sb1 0.2566 0.2491 0.2516
O1 0.0196 0.2727 0.2184
O2 0.2116 0.3025 0.4821
O3 0.2270 0.0149 0.2815
O4 0.2976 0.2086 0.0176
O5 0.2994 0.4807 0.2045
O6 0.4850 0.2114 0.3066
```

Peak list (12 most intense, 2θ = 10–90°, in order of rising 2θ)
| Position (°2θ) | intensity | index |
| --- | --- | --- |
| 21.0 | 11 | 0 2 0 |
| 29.9 | 100 | 2 0 2 |
| 42.7 | 9 | 0 0 4 |
| 42.8 | 19 | 0 4 0 |
| 53.1 | 44 | 2 4 2 |
| 62.1 | 11 | 0 4 4 |
| 62.2 | 5 | 4 4 0 |
| 70.3 | 6 | 2 0 6 |
| 70.5 | 12 | 0 6 2 |
| 78.3 | 5 | 4 4 4 |
| 86.0 | 11 | 2 4 6 |
| 86.1 | 11 | 4 6 2 |



Copy entry 4 word for word.
For BaSrCaSeO6, a DFT-relaxed cell (GGA-PBE, the Materials Project) gives the theoretical powder XRD pattern in this record (Cu Kα (weighted mean of Kα1 and Kα2)).

```
data_BaSrCaSeO6
_space_group_name_H-M_alt 'F -4 3 m'
_space_group_IT_number 216
_space_group_name_Hall 'F -4 2 3'
_cell_length_a 8.2144
_cell_length_b 8.2144
_cell_length_c 8.2144
_cell_angle_alpha 90.00
_cell_angle_beta 90.00
_cell_angle_gamma 90.00
loop_
_atom_site_label
_atom_site_fract_x
_atom_site_fract_y
_atom_site_fract_z
Ba1 0.0000 0.0000 0.0000
Sr1 0.0000 0.0000 0.5000
Ca1 0.2500 0.2500 0.2500
Se1 0.2500 0.2500 0.7500
O1 0.0265 0.2500 0.7500
```

Peak list (12 most intense, 2θ = 10–90°, in order of rising 2θ)
| Position (°2θ) | intensity | index |
| --- | --- | --- |
| 18.7 | 11 | 1 1 1 |
| 21.6 | 4 | 2 0 0 |
| 30.8 | 100 | 2 2 0 |
| 36.3 | 4 | 3 1 1 |
| 37.9 | 14 | 2 2 2 |
| 44.1 | 34 | 4 0 0 |
| 54.7 | 38 | 4 2 2 |
| 64.1 | 20 | 4 4 0 |
| 72.8 | 18 | 6 2 0 |
| 77.0 | 4 | 6 2 2 |
| 81.1 | 7 | 4 4 4 |
| 89.2 | 22 | 6 4 2 |